Diffraction record for La3DyH8. The PXRD pattern is computed, not measured: it uses a cell relaxed with GGA-PBE and λ = 1.5418 Å (Cu Kα).

The 9 most intense peaks (2θ from 10° to 90°), low angle first:
- (1 1 1), d 3.185, 2θ 28.02, I = 100.0
- (2 0 0), d 2.758, 2θ 32.46, I = 48.9
- (2 2 0), d 1.950, 2θ 46.57, I = 38.5
- (3 1 1), d 1.663, 2θ 55.23, I = 45.0
- (2 2 2), d 1.592, 2θ 57.91, I = 12.7
- (4 0 0), d 1.379, 2θ 67.98, I = 6.1
- (3 3 1), d 1.265, 2θ 75.06, I = 18.1
- (4 2 0), d 1.233, 2θ 77.37, I = 16.4
- (4 2 2), d 1.126, 2θ 86.42, I = 13.0

Structural model:
Cell: 5.516 5.516 5.516 Å, 90.00 90.00 90.00°
Space group Pm-3m (No. 221)
Unique sites:
La (0.000, 0.000, 0.500) x3
Dy (0.500, 0.500, 0.500) x1
H (0.262, 0.262, 0.262) x8

Diffraction record for LaDyNi2H8. The PXRD pattern is computed, not measured: it uses a cell relaxed with GGA-PBE and λ = 1.5418 Å (Cu Kα).

The 12 most intense peaks (2θ from 10° to 90°), low angle first:
- (0 1 2), d 3.601, 2θ 24.72, I = 22.1
- (1 0 4), d 3.045, 2θ 29.33, I = 100.0
- (1 1 0), d 2.233, 2θ 40.40, I = 42.7
- (0 1 8), d 2.081, 2θ 43.49, I = 34.7
- (1 1 6), d 1.848, 2θ 49.32, I = 7.8
- (0 2 4), d 1.800, 2θ 50.70, I = 21.9
- (2 0 8), d 1.522, 2θ 60.85, I = 12.2
- (2 1 4), d 1.402, 2θ 66.74, I = 18.7
- (1 1 12), d 1.325, 2θ 71.16, I = 16.8
- (3 0 0), d 1.289, 2θ 73.46, I = 7.0
- (1 2 8), d 1.258, 2θ 75.60, I = 12.9
- (1 0 16), d 1.176, 2θ 81.95, I = 7.1

Structural model:
Cell: 4.4655 4.4655 19.7515 Å, 90.00 90.00 120.00°
Space group R-3m (No. 166, hexagonal axes)
Unique sites:
La (0.0000, 0.0000, 0.0000) x3
Dy (0.0000, 0.0000, 0.5000) x3
Ni (0.0000, 0.0000, 0.2517) x6
H (0.0000, 0.0000, 0.3329) x6
H (0.0387, 0.5194, 0.5548) x18

Diffraction record for DyLuH. The PXRD pattern is computed, not measured: it uses a cell relaxed with GGA-PBE and λ = 1.5418 Å (Cu Kα).

The 12 most intense peaks (2θ from 10° to 90°), low angle first:
- (1 0 2), d 2.830, 2θ 31.61, I = 100.0
- (0 0 4), d 2.487, 2θ 36.12, I = 17.5
- (1 1 0), d 2.434, 2θ 36.93, I = 33.8
- (1 1 4), d 1.739, 2θ 52.62, I = 24.0
- (2 0 0), d 1.721, 2θ 53.22, I = 12.2
- (1 0 6), d 1.494, 2θ 62.15, I = 13.9
- (2 1 2), d 1.471, 2θ 63.23, I = 27.9
- (2 0 4), d 1.415, 2θ 66.02, I = 12.1
- (2 1 6), d 1.128, 2θ 86.22, I = 11.5
- (3 0 2), d 1.118, 2θ 87.19, I = 6.0
- (1 1 8), d 1.107, 2θ 88.26, I = 5.3
- (2 2 4), d 1.093, 2θ 89.70, I = 5.6

Structural model:
Cell: 3.442 3.442 9.946 Å, 90.00 90.00 90.00°
Space group P4/nmm (No. 129, origin choice 2)
Unique sites:
Dy (0.250, 0.250, 0.133) x2
Lu (0.250, 0.250, 0.620) x2
H (0.250, 0.250, 0.378) x2